(1)
For VMo2S4, a structure optimized by DFT (GGA-PBE) gives the theoretical powder X-ray diffraction pattern in this record (Cu Kα X-rays).
Neutral-atom scattering factors, no anomalous dispersion.

Most intense lines, 5 to 70 degrees two-theta, sorted by position:
d [Å]  I_rel  hkl
11.689  51  0 0 1
8.859  82  1 0 0
6.586  88  1 0 -1
4.927  40  2 1 0
4.748  45  1 2 1
4.641  89  1 2 -1
4.271  100  2 2 0
3.791  77  1 0 3
3.444  46  2 -1 0
2.533  43  2 2 4
2.195  48  3 0 -3
2.104  44  2 -2 4

Cell and atoms:
a b c (Å): 9.9726 10.2955 11.8350
angles (deg): 89.03 81.53 64.06
Space group P1 (No. 1)
Unique sites:
1 V 0.0000 0.0000 0.0000 [1 per cell]
2 V 0.0033 0.4604 0.0408 [1 per cell]
3 V 0.0510 0.9138 0.3193 [1 per cell]
4 V 0.4775 0.4446 0.5339 [1 per cell]
5 V 0.5457 0.9841 0.5371 [1 per cell]
6 V 0.5504 0.8462 0.7821 [1 per cell]
7 V 0.8266 0.2930 0.7362 [1 per cell]
8 V 0.9289 0.3719 0.2908 [1 per cell]
9 Mo 0.0932 0.1408 0.7714 [1 per cell]
10 Mo 0.1059 0.0285 0.5136 [1 per cell]
11 Mo 0.1422 0.4585 0.4856 [1 per cell]
12 Mo 0.1811 0.5310 0.7025 [1 per cell]
13 Mo 0.2623 0.2622 0.2795 [1 per cell]
14 Mo 0.2997 0.2784 0.0374 [1 per cell]
15 Mo 0.3021 0.2723 0.6867 [1 per cell]
16 Mo 0.3535 0.8528 0.6878 [1 per cell]
17 Mo 0.3683 0.7412 0.9848 [1 per cell]
18 Mo 0.5329 0.7323 0.2831 [1 per cell]
19 Mo 0.5690 0.4979 0.9614 [1 per cell]
20 Mo 0.5754 0.0406 0.9420 [1 per cell]
21 Mo 0.7291 0.0418 0.3766 [1 per cell]
22 Mo 0.8363 0.1932 0.4922 [1 per cell]
23 Mo 0.9540 0.7026 0.2199 [1 per cell]
24 Mo 0.9551 0.7164 0.4282 [1 per cell]
25 S 0.0466 0.6129 0.9029 [1 per cell]
26 S 0.0716 0.2767 0.4356 [1 per cell]
27 S 0.0783 0.2405 0.1358 [1 per cell]
28 S 0.1151 0.7296 0.0196 [1 per cell]
29 S 0.1339 0.7883 0.4732 [1 per cell]
30 S 0.1706 0.9157 0.1307 [1 per cell]
31 S 0.1717 0.2841 0.8771 [1 per cell]
32 S 0.1765 0.4791 0.1701 [1 per cell]
33 S 0.1815 0.9076 0.8507 [1 per cell]
34 S 0.2815 0.0790 0.5971 [1 per cell]
35 S 0.2823 0.9368 0.3363 [1 per cell]
36 S 0.3564 0.4172 0.3630 [1 per cell]
37 S 0.3648 0.6109 0.6871 [1 per cell]
38 S 0.4365 0.0792 0.1299 [1 per cell]
39 S 0.4729 0.0836 0.3630 [1 per cell]
40 S 0.4741 0.6134 0.1446 [1 per cell]
41 S 0.4917 0.3225 0.9258 [1 per cell]
42 S 0.5037 0.6009 0.4182 [1 per cell]
43 S 0.5181 0.0765 0.7594 [1 per cell]
44 S 0.5626 0.8204 0.9705 [1 per cell]
45 S 0.5897 0.1917 0.5491 [1 per cell]
46 S 0.6153 0.7517 0.6030 [1 per cell]
47 S 0.7072 0.8082 0.3825 [1 per cell]
48 S 0.7182 0.4275 0.5847 [1 per cell]
49 S 0.7356 0.5335 0.8222 [1 per cell]
50 S 0.7707 0.2633 0.3048 [1 per cell]
51 S 0.8001 0.5815 0.1905 [1 per cell]
52 S 0.8206 0.9544 0.9299 [1 per cell]
53 S 0.8642 0.9529 0.1892 [1 per cell]
54 S 0.8695 0.2316 0.9291 [1 per cell]
55 S 0.9107 0.0534 0.6710 [1 per cell]
56 S 0.9546 0.6259 0.6309 [1 per cell]

(2)
For VMo2S4, a structure optimized by DFT (GGA-PBE) gives the theoretical powder X-ray diffraction pattern in this record (Cu Kα X-rays).
Neutral-atom scattering factors, no anomalous dispersion.

Most intense lines, 5 to 70 degrees two-theta, sorted by position:
d [Å]  I_rel  hkl
5.918  100  0 1 2
4.103  17  1 2 -1
3.088  17  2 2 0
2.948  14  0 2 -4
2.738  15  2 -1 2
2.616  38  2 3 2
2.473  56  0 1 -6
2.316  57  2 -2 0
2.190  13  2 4 2
1.927  13  0 0 8
1.789  16  0 5 2
1.777  18  2 2 8

Cell and atoms:
a b c (Å): 6.7990 9.6451 15.6889
angles (deg): 86.59 79.46 72.30
Space group P1 (No. 1)
Unique sites:
1 V 0.0000 0.0000 0.0000 [1 per cell]
2 V 0.0247 0.9568 0.4603 [1 per cell]
3 V 0.3342 0.7324 0.6687 [1 per cell]
4 V 0.3864 0.4176 0.2798 [1 per cell]
5 V 0.5356 0.9385 0.9708 [1 per cell]
6 V 0.6310 0.9475 0.4494 [1 per cell]
7 V 0.8432 0.6915 0.1888 [1 per cell]
8 V 0.9140 0.8701 0.7794 [1 per cell]
9 Mo 0.1039 0.0860 0.1565 [1 per cell]
10 Mo 0.1168 0.5520 0.9247 [1 per cell]
11 Mo 0.1874 0.0643 0.6689 [1 per cell]
12 Mo 0.2213 0.6739 0.5175 [1 per cell]
13 Mo 0.3347 0.2859 0.5572 [1 per cell]
14 Mo 0.3718 0.3879 0.0343 [1 per cell]
15 Mo 0.4460 0.8779 0.7882 [1 per cell]
16 Mo 0.5312 0.8548 0.2936 [1 per cell]
17 Mo 0.5921 0.0805 0.6755 [1 per cell]
18 Mo 0.6628 0.6217 0.8981 [1 per cell]
19 Mo 0.6657 0.5933 0.4232 [1 per cell]
20 Mo 0.6968 0.0872 0.1509 [1 per cell]
21 Mo 0.8555 0.3037 0.0501 [1 per cell]
22 Mo 0.8836 0.3684 0.5432 [1 per cell]
23 Mo 0.9166 0.4564 0.7367 [1 per cell]
24 Mo 0.9186 0.8587 0.3016 [1 per cell]
25 S 0.0109 0.5061 0.0761 [1 per cell]
26 S 0.0225 0.8729 0.6255 [1 per cell]
27 S 0.0538 0.5103 0.5917 [1 per cell]
28 S 0.0837 0.0212 0.8228 [1 per cell]
29 S 0.1187 0.6188 0.7667 [1 per cell]
30 S 0.1333 0.6203 0.2497 [1 per cell]
31 S 0.1400 0.0158 0.3098 [1 per cell]
32 S 0.1580 0.1374 0.5161 [1 per cell]
33 S 0.2054 0.1456 0.0097 [1 per cell]
34 S 0.2833 0.2695 0.7087 [1 per cell]
35 S 0.3278 0.2592 0.1775 [1 per cell]
36 S 0.3307 0.8058 0.9359 [1 per cell]
37 S 0.3869 0.8319 0.4396 [1 per cell]
38 S 0.4035 0.4500 0.4266 [1 per cell]
39 S 0.4679 0.4215 0.8848 [1 per cell]
40 S 0.5018 0.9040 0.1358 [1 per cell]
41 S 0.5172 0.8946 0.6048 [1 per cell]
42 S 0.5470 0.5520 0.5757 [1 per cell]
43 S 0.5699 0.5376 0.0538 [1 per cell]
44 S 0.5889 0.5987 0.2746 [1 per cell]
45 S 0.5979 0.6310 0.7501 [1 per cell]
46 S 0.6013 0.0820 0.3241 [1 per cell]
47 S 0.6034 0.0540 0.8279 [1 per cell]
48 S 0.6581 0.1536 0.0071 [1 per cell]
49 S 0.6971 0.1393 0.5192 [1 per cell]
50 S 0.7927 0.2817 0.2025 [1 per cell]
51 S 0.8192 0.2477 0.6846 [1 per cell]
52 S 0.8735 0.7886 0.9295 [1 per cell]
53 S 0.9191 0.7409 0.4392 [1 per cell]
54 S 0.9401 0.3958 0.8899 [1 per cell]
55 S 0.9589 0.3911 0.3911 [1 per cell]
56 S 0.9987 0.8752 0.1262 [1 per cell]